# CaLa4Ti3RuO15
Simulated powder diffractogram, a wavelength of 1.5418 Å. Input: a cell relaxed with PBE.
Kinematic intensities with the Lorentz-polarization factor, no thermal factor.

Main lines, by intensity (2θ = 15–90°):
Position (°2θ)  d/Å  I_rel
30.5  2.933  100
32.3  2.773  79
45.0  2.015  65
56.5  1.630  39
18.5  4.803  22
53.0  1.728  19

Cell and atoms:
```
data_CaLa4Ti3RuO15
_space_group_name_H-M_alt 'P 3 m 1'
_space_group_IT_number 156
_cell_length_a 5.5455
_cell_length_b 5.5455
_cell_length_c 11.1120
_cell_angle_alpha 90.00
_cell_angle_beta 90.00
_cell_angle_gamma 120.00
loop_
_space_group_symop_operation_xyz
'x,y,z'
'-y,x-y,z'
'-x+y,-x,z'
'-y,-x,z'
'-x+y,y,z'
'x,x-y,z'
loop_
_atom_site_label
_atom_site_type_symbol
_atom_site_fract_x
_atom_site_fract_y
_atom_site_fract_z
_atom_site_occupancy
Ca1 Ca 0.0000 0.0000 0.0000 1
La1 La 0.3333 0.6667 0.4151 1
La2 La 0.3333 0.6667 0.7710 1
La3 La 0.6667 0.3333 0.2079 1
La4 La 0.6667 0.3333 0.5656 1
Ti1 Ti 0.0000 0.0000 0.3088 1
Ti2 Ti 0.0000 0.0000 0.6717 1
Ti3 Ti 0.3333 0.6667 0.0914 1
Ru1 Ru 0.6667 0.3333 0.8884 1
O1 O 0.0024 0.5012 0.9906 1
O2 O 0.1663 0.3325 0.1911 1
O3 O 0.1731 0.3462 0.5915 1
O4 O 0.3325 0.1662 0.7848 1
O5 O 0.3469 0.1734 0.3860 1
```

# Ca2LaSbO6
Simulated powder diffractogram, a wavelength of 1.5418 Å. Input: a cell relaxed with PBE.
Kinematic intensities with the Lorentz-polarization factor, no thermal factor.

Main lines, by intensity (2θ = 15–90°):
Position (°2θ)  d/Å  I_rel
30.6  2.918  100
18.4  4.827  30
18.9  4.700  29
55.3  1.661  24
44.0  2.060  23
30.1  2.973  22

Cell and atoms:
```
data_Ca2LaSbO6
_space_group_name_H-M_alt 'P 1 c 1'
_space_group_IT_number 7
_cell_length_a 5.7132
_cell_length_b 5.9456
_cell_length_c 10.0476
_cell_angle_alpha 90.00
_cell_angle_beta 124.65
_cell_angle_gamma 90.00
loop_
_space_group_symop_operation_xyz
'x,y,z'
'x,-y,z+1/2'
loop_
_atom_site_label
_atom_site_type_symbol
_atom_site_fract_x
_atom_site_fract_y
_atom_site_fract_z
_atom_site_occupancy
Ca1 Ca 0.0000 0.1984 0.0000 1
Ca2 Ca 0.7695 0.2465 0.2530 1
La1 La 0.5388 0.3025 0.5068 1
Sb1 Sb 0.2714 0.2490 0.7550 1
O1 O 0.0254 0.4699 0.1853 1
O2 O 0.1556 0.1946 0.5254 1
O3 O 0.3830 0.3010 0.9834 1
O4 O 0.5162 0.0303 0.3236 1
O5 O 0.6093 0.4323 0.8074 1
O6 O 0.9321 0.0676 0.7008 1
```

Question: What is the formula in the second record?
Answer: Ca2LaSbO6

Copy entry 2 word for word.
# Ca2LaSbO6
Simulated powder diffractogram, a wavelength of 1.5418 Å. Input: a cell relaxed with PBE.
Kinematic intensities with the Lorentz-polarization factor, no thermal factor.

Main lines, by intensity (2θ = 15–90°):
Position (°2θ)  d/Å  I_rel
30.6  2.918  100
18.4  4.827  30
18.9  4.700  29
55.3  1.661  24
44.0  2.060  23
30.1  2.973  22

Cell and atoms:
```
data_Ca2LaSbO6
_space_group_name_H-M_alt 'P 1 c 1'
_space_group_IT_number 7
_cell_length_a 5.7132
_cell_length_b 5.9456
_cell_length_c 10.0476
_cell_angle_alpha 90.00
_cell_angle_beta 124.65
_cell_angle_gamma 90.00
loop_
_space_group_symop_operation_xyz
'x,y,z'
'x,-y,z+1/2'
loop_
_atom_site_label
_atom_site_type_symbol
_atom_site_fract_x
_atom_site_fract_y
_atom_site_fract_z
_atom_site_occupancy
Ca1 Ca 0.0000 0.1984 0.0000 1
Ca2 Ca 0.7695 0.2465 0.2530 1
La1 La 0.5388 0.3025 0.5068 1
Sb1 Sb 0.2714 0.2490 0.7550 1
O1 O 0.0254 0.4699 0.1853 1
O2 O 0.1556 0.1946 0.5254 1
O3 O 0.3830 0.3010 0.9834 1
O4 O 0.5162 0.0303 0.3236 1
O5 O 0.6093 0.4323 0.8074 1
O6 O 0.9321 0.0676 0.7008 1
```